Structure and simulated powder diffraction line list of CdIn9Ga2 (a crystal structure in Alexandria, relaxed with GGA-PBE; Cu Kα).

Structure:
Cell: 4.775 4.775 13.410 Å, 90.00 90.00 90.00°
Space group P4/mmm (No. 123)
Asymmetric unit:
Cd 0.000 0.000 0.000 (multiplicity 1)
In 0.000 0.500 0.170 (multiplicity 4)
In 0.000 0.500 0.500 (multiplicity 2)
In 0.500 0.500 0.000 (multiplicity 1)
In 0.500 0.500 0.335 (multiplicity 2)
Ga 0.000 0.000 0.340 (multiplicity 2)

Largest 6 diffraction maxima, sorted by position, 2θ from 10° to 80°:
hkl	Position (°2θ)	Rel. int.
1 1 3	33.25	100
2 0 0	37.68	36
0 0 6	40.35	14
2 2 0	54.34	12
2 0 6	56.39	21
3 1 3	65.22	27

---

Structure and simulated powder diffraction line list of Cd6In4Ga (a crystal structure in Alexandria, relaxed with GGA-PBE; Cu Kα).

Structure:
Cell: 5.049 8.569 25.679 Å, 90.00 90.00 90.00°
Space group Cmcm (No. 63)
Asymmetric unit:
Cd 0.000 0.000 0.000 (multiplicity 4)
Cd 0.000 0.058 0.250 (multiplicity 4)
Cd 0.000 0.309 0.601 (multiplicity 8)
Cd 0.000 0.380 0.187 (multiplicity 8)
In 0.000 0.032 0.133 (multiplicity 8)
In 0.000 0.343 0.044 (multiplicity 8)
Ga 0.000 0.279 0.750 (multiplicity 4)

Largest 6 diffraction maxima, sorted by position, 2θ from 10° to 80°:
hkl	Position (°2θ)	Rel. int.
1 1 7	31.91	87
0 2 7	32.12	71
1 1 8	34.73	94
2 0 0	35.56	82
1 3 0	36.13	100
1 3 1	36.30	51

---

Structure and simulated powder diffraction line list of Cd2In8Ga (a crystal structure in Alexandria, relaxed with GGA-PBE; Cu Kα).

Structure:
Cell: 4.689 4.689 13.221 Å, 90.00 90.00 90.00°
Space group P4/mmm (No. 123)
Asymmetric unit:
Cd 0.000 0.000 0.175 (multiplicity 2)
In 0.000 0.500 0.000 (multiplicity 2)
In 0.000 0.500 0.361 (multiplicity 4)
In 0.500 0.500 0.183 (multiplicity 2)
Ga 0.000 0.000 0.500 (multiplicity 1)

Largest 6 diffraction maxima, sorted by position, 2θ from 10° to 80°:
hkl	Position (°2θ)	Rel. int.
1 1 2	30.15	13
1 1 3	33.84	100
2 0 0	38.40	38
2 2 0	55.43	12
2 0 6	57.39	13
3 1 3	66.54	29